Cs2TmI6: computed X-ray powder pattern (Cu Kα X-rays), based on DFT lattice parameters and positions (GGA-PBE).
Lines closer than 0.1° are merged.

Top 12 peaks for 10 to 90 degrees two-theta, low angle first:
6.475 Å, I 18, hkl 1 0 1
3.529 Å, I 51, hkl 0 0 4
3.237 Å, I 100, hkl 2 0 2
2.881 Å, I 37, hkl 2 0 3
2.536 Å, I 10, hkl 2 0 4
2.232 Å, I 19, hkl 2 0 5
2.103 Å, I 35, hkl 2 2 0
1.977 Å, I 24, hkl 2 0 6
1.807 Å, I 26, hkl 2 2 4
1.764 Å, I 28, hkl 0 0 8
1.441 Å, I 10, hkl 4 0 6
1.352 Å, I 32, hkl 2 2 8

Structural model:
a = 8.4124 Å, b = 8.4124 Å, c = 14.1264 Å
α = 90.00°, β = 90.00°, γ = 120.00°
Space group P6_3mc (No. 186)
Inequivalent atoms, fractional coordinates:
Cs1 0.0000 0.0000 0.0000 [2 per cell]
Cs2 0.3333 0.6667 0.2491 [2 per cell]
Tm1 0.3333 0.6667 0.6244 [2 per cell]
I1 0.0021 0.5011 0.4996 [6 per cell]
I2 0.1645 0.3290 0.7449 [6 per cell]